# 1
Diffraction record for Dy2TmSn2. The X-ray diffraction stick pattern is calculated, not measured: it uses the GGA-PBE geometry in Alexandria and Cu Kα (weighted mean of Kα1 and Kα2).
Kinematic intensities with the Lorentz-polarization factor, no thermal factor.

Largest 6 diffraction maxima, by angle, 2θ from 15° to 90°:
d (Å)	2theta	intensity
2.844	31.45	1000
2.688	33.33	292
2.650	33.82	833
2.262	39.84	322
2.246	40.15	301
1.435	65.01	251

Cell: 4.5250 18.2850 6.6461 Å, 90.00 90.00 90.00°
Space group Cmc2_1 (No. 36)
Asymmetric unit:
1 Dy 0.0000 0.0926 0.0000 x4
2 Dy 0.0000 0.2916 0.2421 x4
3 Tm 0.0000 0.0937 0.4846 x4
4 Sn 0.0000 0.3206 0.7448 x4
5 Sn 0.0000 0.4884 0.2398 x4

---

# 2
Diffraction record for Cs2Rb6AgO. The X-ray diffraction stick pattern is calculated, not measured: it uses the GGA-PBE geometry in Alexandria and Cu Kα (weighted mean of Kα1 and Kα2).
Kinematic intensities with the Lorentz-polarization factor, no thermal factor.

Largest 6 diffraction maxima, by angle, 2θ from 15° to 90°:
d (Å)	2theta	intensity
4.141	21.46	587
3.870	22.98	1000
3.548	25.10	376
3.496	25.48	362
2.631	34.08	344
2.441	36.83	442

Cell: 10.9189 12.7344 9.7609 Å, 90.00 92.84 90.00°
Space group Cm (No. 8)
Asymmetric unit:
1 Cs 0.0000 0.1880 0.0000 x4
2 Rb 0.1534 0.5000 0.7102 x2
3 Rb 0.1977 0.5000 0.3099 x2
4 Rb 0.2805 0.0000 0.6326 x2
5 Rb 0.3439 0.0000 0.2424 x2
6 Rb 0.4928 0.2268 0.4849 x4
7 Ag 0.0313 0.0000 0.3264 x2
8 O 0.4950 0.0000 0.4810 x2

---

# 3
Diffraction record for ScTiRh. The X-ray diffraction stick pattern is calculated, not measured: it uses the GGA-PBE geometry in Alexandria and Cu Kα (weighted mean of Kα1 and Kα2).
Kinematic intensities with the Lorentz-polarization factor, no thermal factor.

Largest 6 diffraction maxima, by angle, 2θ from 15° to 90°:
d (Å)	2theta	intensity
5.135	17.27	289
3.033	29.45	160
2.328	38.69	1000
2.244	40.18	471
1.587	58.12	150
1.311	72.02	289

Cell: 3.1742 3.1742 10.2697 Å, 90.00 90.00 90.00°
Space group I4mm (No. 107)
Asymmetric unit:
1 Sc 0.0000 0.0000 0.0000 x2
2 Ti 0.0000 0.0000 0.6925 x2
3 Rh 0.0000 0.0000 0.3304 x2

---

# 4
Diffraction record for Pr2Ho12Th5. The X-ray diffraction stick pattern is calculated, not measured: it uses the GGA-PBE geometry in Alexandria and Cu Kα (weighted mean of Kα1 and Kα2).
Kinematic intensities with the Lorentz-polarization factor, no thermal factor.

Largest 6 diffraction maxima, by angle, 2θ from 15° to 90°:
d (Å)	2theta	intensity
2.941	30.39	1000
2.853	31.36	747
2.821	31.71	523
2.796	32.01	483
2.709	33.07	463
2.654	33.77	557

Cell: 18.5714 7.0139 10.3088 Å, 90.00 112.82 90.00°
Space group C2/m (No. 12)
Asymmetric unit:
1 Pr 0.0000 0.2177 0.0000 x4
2 Ho 0.0012 0.0000 0.3315 x4
3 Ho 0.0329 0.5000 0.2437 x4
4 Ho 0.1575 0.2543 0.8632 x8
5 Ho 0.1670 0.2489 0.5206 x8
6 Th 0.0000 0.5000 0.5000 x2
7 Th 0.1809 0.0000 0.2110 x4
8 Th 0.1887 0.5000 0.1776 x4

---

# 5
Diffraction record for KLa2DyS4. The X-ray diffraction stick pattern is calculated, not measured: it uses the GGA-PBE geometry in Alexandria and Cu Kα (weighted mean of Kα1 and Kα2).
Kinematic intensities with the Lorentz-polarization factor, no thermal factor.

Largest 6 diffraction maxima, by angle, 2θ from 15° to 90°:
d (Å)	2theta	intensity
3.433	25.95	157
3.371	26.44	442
2.932	30.48	1000
2.088	43.34	363
2.059	43.97	354
1.304	72.46	155

Cell: 7.1405 4.1154 7.2628 Å, 90.00 109.01 90.00°
Space group P2/m (No. 10)
Asymmetric unit:
1 K 0.0000 0.0000 0.0000 x1
2 La 0.5000 0.0000 0.5000 x1
3 La 0.5000 0.5000 0.0000 x1
4 Dy 0.0000 0.5000 0.5000 x1
5 S 0.2396 0.0000 0.7330 x2
6 S 0.2542 0.5000 0.2694 x2